1.
The following is a computed X-ray powder pattern of Zn3Cd. It was derived from a cell relaxed with GGA-PBE, using Cu Kα (λ = 1.5418 Å).
Intensities are scaled so that the largest is 100.

Peak list (10 most intense, 5° ≤ 2θ ≤ 70°, in order of falling intensity)
hkl	Position (°2θ)	d/Å	intensity
1 2 1	41.48	2.177	100.0
2 0 0	34.32	2.613	57.6
1 0 2	41.70	2.166	50.3
3 2 1	66.36	1.409	23.0
0 2 1	37.56	2.395	22.8
2 2 1	51.79	1.765	17.4
0 2 3	68.09	1.377	14.1
3 0 2	66.52	1.406	11.8
0 0 2	37.79	2.380	10.5
2 0 2	51.97	1.760	8.1

Crystal structure
a b c (Å): 5.226 5.541 4.761
angles (deg): 90.00 90.00 90.00
Space group Pmmn (No. 59, origin choice 2)
Unique sites:
1 Zn 0.250 0.007 0.164 [4 per cell]
2 Zn 0.250 0.250 0.675 [2 per cell]
3 Cd 0.250 0.750 0.662 [2 per cell]



2.
The following is a computed X-ray powder pattern of OsS2Cl6. It was derived from a cell relaxed with GGA-PBE, using Cu Kα (λ = 1.5418 Å).
Intensities are scaled so that the largest is 100.

Peak list (10 most intense, 5° ≤ 2θ ≤ 70°, in order of falling intensity)
hkl	Position (°2θ)	d/Å	intensity
1 0 1	15.61	5.676	100.0
0 0 3	11.54	7.670	63.8
0 1 2	16.99	5.220	49.0
2 -1 6	35.39	2.536	30.5
0 1 5	24.60	3.619	26.5
1 0 4	21.65	4.104	23.0
2 -1 3	28.85	3.094	22.1
0 2 4	34.36	2.610	17.4
1 1 9	44.42	2.039	15.7
3 -2 5	45.47	1.995	13.9

Crystal structure
a b c (Å): 6.7630 6.7630 23.0112
angles (deg): 90.00 90.00 120.00
Space group R3 (No. 146, hexagonal axes)
Unique sites:
1 Os 0.0000 0.0000 0.0000 [3 per cell]
2 S 0.0000 0.0000 0.1584 [3 per cell]
3 S 0.0000 0.0000 0.2389 [3 per cell]
4 Cl 0.0352 0.4117 0.7247 [9 per cell]
5 Cl 0.0863 0.7245 0.6077 [9 per cell]



3.
The following is a computed X-ray powder pattern of Pr12SmSn3. It was derived from a cell relaxed with GGA-PBE, using Cu Kα (λ = 1.5418 Å).
Intensities are scaled so that the largest is 100.

Peak list (10 most intense, 5° ≤ 2θ ≤ 70°, in order of falling intensity)
hkl	Position (°2θ)	d/Å	intensity
1 1 4	30.65	2.917	100.0
2 0 0	35.77	2.510	33.6
3 1 4	61.12	1.516	28.3
2 0 8	50.97	1.792	22.5
0 0 8	35.07	2.559	16.2
2 2 0	51.49	1.775	12.2
1 1 12	60.19	1.537	12.1
2 2 8	63.82	1.458	11.4
1 1 13	64.77	1.439	1.3
1 1 11	55.78	1.648	1.1

Crystal structure
a b c (Å): 5.020 5.020 20.469
angles (deg): 90.00 90.00 90.00
Space group P4/mmm (No. 123)
Unique sites:
1 Pr 0.000 0.000 0.000 [1 per cell]
2 Pr 0.000 0.000 0.242 [2 per cell]
3 Pr 0.000 0.000 0.500 [1 per cell]
4 Pr 0.000 0.500 0.121 [4 per cell]
5 Pr 0.000 0.500 0.366 [4 per cell]
6 Sm 0.500 0.500 0.500 [1 per cell]
7 Sn 0.500 0.500 0.000 [1 per cell]
8 Sn 0.500 0.500 0.244 [2 per cell]



4.
The following is a computed X-ray powder pattern of Al3Ga13. It was derived from a cell relaxed with GGA-PBE, using Cu Kα (λ = 1.5418 Å).
Intensities are scaled so that the largest is 100.

Peak list (10 most intense, 5° ≤ 2θ ≤ 70°, in order of falling intensity)
hkl	Position (°2θ)	d/Å	intensity
0 0 4	37.11	2.423	100.0
0 2 -2	35.91	2.501	85.2
0 2 2	40.93	2.205	53.2
-2 2 2	43.27	2.091	41.9
2 0 -1	33.72	2.658	34.8
2 -2 2	43.55	2.078	33.4
2 0 -3	40.56	2.224	31.6
2 0 1	36.60	2.455	25.9
2 0 0	33.91	2.644	24.5
2 -1 0	32.31	2.771	22.3

Crystal structure
a b c (Å): 5.655 5.706 9.864
angles (deg): 95.90 96.52 108.80
Space group P1 (No. 1)
Unique sites:
1 Al 0.000 0.000 0.000 [1 per cell]
2 Al 0.044 0.277 0.748 [1 per cell]
3 Al 0.660 0.083 0.501 [1 per cell]
4 Ga 0.066 0.525 0.502 [1 per cell]
5 Ga 0.137 0.796 0.763 [1 per cell]
6 Ga 0.151 0.042 0.507 [1 per cell]
7 Ga 0.383 0.207 0.253 [1 per cell]
8 Ga 0.403 0.442 0.998 [1 per cell]
9 Ga 0.489 0.737 0.253 [1 per cell]
10 Ga 0.494 0.961 0.004 [1 per cell]
11 Ga 0.543 0.311 0.742 [1 per cell]
12 Ga 0.569 0.555 0.501 [1 per cell]
13 Ga 0.644 0.839 0.752 [1 per cell]
14 Ga 0.884 0.218 0.242 [1 per cell]
15 Ga 0.903 0.476 0.983 [1 per cell]
16 Ga 0.985 0.738 0.244 [1 per cell]



5.
The following is a computed X-ray powder pattern of Na8B13C3. It was derived from a cell relaxed with GGA-PBE, using Cu Kα (λ = 1.5418 Å).
Intensities are scaled so that the largest is 100.

Peak list (10 most intense, 5° ≤ 2θ ≤ 70°, in order of falling intensity)
hkl	Position (°2θ)	d/Å	intensity
3 1 2	41.13	2.194	100.0
8 0 0	42.00	2.151	24.1
1 1 -2	35.21	2.549	12.4
1 3 -2	63.05	1.474	11.8
8 2 0	55.90	1.645	10.5
0 2 0	35.11	2.556	6.9
2 0 -4	63.25	1.470	5.9
4 0 0	20.64	4.303	1.5
3 3 2	67.11	1.395	1.2
2 0 0	10.28	8.606	0.6

Crystal structure
a b c (Å): 17.461 5.112 5.881
angles (deg): 90.00 99.70 90.00
Space group C2 (No. 5)
Unique sites:
1 Na 0.124 0.000 0.062 [4 per cell]
2 Na 0.124 0.501 0.312 [4 per cell]
3 Na 0.124 0.501 0.812 [4 per cell]
4 Na 0.125 0.002 0.563 [4 per cell]
5 B 0.000 0.156 0.263 [4 per cell]
6 B 0.000 0.342 0.000 [2 per cell]
7 B 0.000 0.664 0.500 [2 per cell]
8 B 0.000 0.682 0.000 [2 per cell]
9 B 0.250 0.166 0.375 [4 per cell]
10 B 0.250 0.166 0.875 [4 per cell]
11 B 0.250 0.337 0.125 [4 per cell]
12 B 0.250 0.337 0.625 [4 per cell]
13 C 0.000 0.334 0.500 [2 per cell]
14 C 0.000 0.837 0.256 [4 per cell]



6.
The following is a computed X-ray powder pattern of Pm2NdAgSe5. It was derived from a cell relaxed with GGA-PBE, using Cu Kα (λ = 1.5418 Å).
Intensities are scaled so that the largest is 100.

Peak list (10 most intense, 5° ≤ 2θ ≤ 70°, in order of falling intensity)
hkl	Position (°2θ)	d/Å	intensity
1 1 3	30.61	2.920	100.0
1 5 2	36.27	2.477	71.2
0 6 1	31.26	2.861	54.6
1 1 2	26.12	3.411	36.1
2 0 0	43.35	2.087	34.7
1 5 3	39.75	2.267	24.4
0 2 3	23.46	3.792	22.5
2 6 1	54.41	1.686	22.3
1 11 3	66.30	1.410	21.6
0 2 6	44.31	2.044	14.6

Crystal structure
a b c (Å): 4.174 17.628 12.603
angles (deg): 90.00 90.00 90.00
Space group Cmc2_1 (No. 36)
Unique sites:
1 Pm 0.000 0.110 0.000 [4 per cell]
2 Pm 0.000 0.123 0.620 [4 per cell]
3 Nd 0.000 0.196 0.322 [4 per cell]
4 Ag 0.000 0.446 0.777 [4 per cell]
5 Se 0.000 0.043 0.397 [4 per cell]
6 Se 0.000 0.288 0.988 [4 per cell]
7 Se 0.000 0.310 0.654 [4 per cell]
8 Se 0.000 0.363 0.315 [4 per cell]
9 Se 0.000 0.498 0.088 [4 per cell]



7.
The following is a computed X-ray powder pattern of LaCuBi. It was derived from a cell relaxed with GGA-PBE, using Cu Kα (λ = 1.5418 Å).
Intensities are scaled so that the largest is 100.

Peak list (10 most intense, 5° ≤ 2θ ≤ 70°, in order of falling intensity)
hkl	Position (°2θ)	d/Å	intensity
1 1 2	37.13	2.421	100.0
1 1 0	26.23	3.397	55.9
2 0 0	37.44	2.402	50.8
3 1 2	67.34	1.390	35.0
0 0 2	25.81	3.451	27.4
2 0 2	46.04	1.972	24.0
2 2 0	53.99	1.698	17.7
0 2 4	66.72	1.402	12.0
3 1 0	60.99	1.519	11.3
2 2 2	60.78	1.524	10.8

Crystal structure
a b c (Å): 4.804 4.804 6.903
angles (deg): 90.00 90.09 90.00
Space group P2_1/m (No. 11)
Unique sites:
1 La 0.250 0.250 0.225 [2 per cell]
2 Cu 0.249 0.750 0.500 [2 per cell]
3 Bi 0.251 0.250 0.740 [2 per cell]



8.
The following is a computed X-ray powder pattern of In5Pt11. It was derived from a cell relaxed with GGA-PBE, using Cu Kα (λ = 1.5418 Å).
Intensities are scaled so that the largest is 100.

Peak list (10 most intense, 5° ≤ 2θ ≤ 70°, in order of falling intensity)
hkl	Position (°2θ)	d/Å	intensity
0 1 4	38.24	2.354	100.0
0 2 0	43.96	2.060	17.5
2 0 -4	43.85	2.064	16.3
2 0 4	45.51	1.993	15.0
2 2 4	65.12	1.432	14.8
2 2 -4	63.84	1.458	10.7
0 0 8	64.98	1.435	5.1
1 1 -2	30.66	2.916	2.0
1 0 2	22.30	3.986	1.8
2 1 -1	38.86	2.318	1.6

Crystal structure
a b c (Å): 5.734 4.120 11.489
angles (deg): 90.00 92.01 90.00
Space group P2/m (No. 10)
Unique sites:
1 In 0.000 0.000 0.000 [1 per cell]
2 In 0.242 0.500 0.374 [2 per cell]
3 In 0.287 0.500 0.861 [2 per cell]
4 Pt 0.000 0.000 0.500 [1 per cell]
5 Pt 0.017 0.000 0.752 [2 per cell]
6 Pt 0.225 0.500 0.117 [2 per cell]
7 Pt 0.254 0.500 0.620 [2 per cell]
8 Pt 0.479 0.000 0.253 [2 per cell]
9 Pt 0.500 0.000 0.000 [1 per cell]
10 Pt 0.500 0.000 0.500 [1 per cell]



9.
The following is a computed X-ray powder pattern of CaOsRh2O8. It was derived from a cell relaxed with GGA-PBE, using Cu Kα (λ = 1.5418 Å).
Intensities are scaled so that the largest is 100.

Peak list (10 most intense, 5° ≤ 2θ ≤ 70°, in order of falling intensity)
hkl	Position (°2θ)	d/Å	intensity
1 1 2	33.85	2.648	100.0
0 2 0	26.54	3.359	63.8
2 0 0	27.13	3.287	58.4
1 3 2	51.70	1.768	42.3
3 1 2	52.38	1.747	38.4
1 1 1	23.47	3.790	36.8
0 0 1	13.81	6.412	34.0
2 2 0	38.31	2.349	26.1
3 3 2	66.44	1.407	23.7
2 0 4	64.70	1.441	10.3

Crystal structure
a b c (Å): 6.574 6.718 6.412
angles (deg): 90.00 90.00 90.00
Space group Cmmm (No. 65)
Unique sites:
1 Ca 0.000 0.000 0.000 [2 per cell]
2 Os 0.000 0.000 0.500 [2 per cell]
3 Rh 0.000 0.500 0.251 [4 per cell]
4 O 0.000 0.294 0.500 [4 per cell]
5 O 0.000 0.326 0.000 [4 per cell]
6 O 0.201 0.000 0.286 [8 per cell]



10.
The following is a computed X-ray powder pattern of Tb2Y5Tm3. It was derived from a cell relaxed with GGA-PBE, using Cu Kα (λ = 1.5418 Å).
Intensities are scaled so that the largest is 100.

Peak list (10 most intense, 5° ≤ 2θ ≤ 70°, in order of falling intensity)
hkl	Position (°2θ)	d/Å	intensity
2 4 0	30.36	2.944	100.0
2 2 -3	30.79	2.904	70.6
2 2 1	30.71	2.911	69.2
4 0 -2	33.60	2.667	60.6
0 4 2	32.37	2.766	42.9
2 6 -1	37.95	2.371	37.3
2 0 2	38.89	2.316	29.8
2 2 -1	20.05	4.428	28.8
0 6 3	49.42	1.844	25.4
2 10 -3	65.98	1.416	23.7

Crystal structure
a b c (Å): 10.669 15.883 9.364
angles (deg): 90.00 124.56 90.00
Space group C2/c (No. 15)
Unique sites:
1 Tb 0.143 0.121 0.045 [8 per cell]
2 Y 0.000 0.231 0.250 [4 per cell]
3 Y 0.000 0.271 0.750 [4 per cell]
4 Y 0.000 0.470 0.750 [4 per cell]
5 Y 0.241 0.387 0.235 [8 per cell]
6 Tm 0.000 0.029 0.250 [4 per cell]
7 Tm 0.154 0.381 0.549 [8 per cell]